Dy12Si6C: computed X-ray diffraction stick pattern (copper Kα), based on a cell relaxed with PBE.
Peak positions follow from Bragg's law for the DFT cell and can differ from measured ones.

Peak list (10 most intense, 2θ = 10–90°, in order of rising 2θ)
Position (°2θ)  I_rel
25.13  20
26.91  100
29.10  17
31.70  31
34.05  41
38.03  42
38.82  37
55.47  17
55.82  15
57.64  13

Structure:
Cell lengths 8.091, 8.091, 8.091 Å; angles 98.68, 98.68, 98.68 degrees
Sites, in units of the cell vectors:
1 Dy 0.036 0.933 0.693
2 Dy 0.067 0.307 0.964
3 Dy 0.186 0.567 0.430
4 Dy 0.307 0.964 0.067
5 Dy 0.430 0.186 0.567
6 Dy 0.433 0.570 0.814
7 Dy 0.567 0.430 0.186
8 Dy 0.570 0.814 0.433
9 Dy 0.693 0.036 0.933
10 Dy 0.814 0.433 0.570
11 Dy 0.933 0.693 0.036
12 Dy 0.964 0.067 0.307
13 Si 0.126 0.293 0.617
14 Si 0.293 0.617 0.126
15 Si 0.383 0.874 0.707
16 Si 0.617 0.126 0.293
17 Si 0.707 0.383 0.874
18 Si 0.874 0.707 0.383
19 C 0.000 0.000 0.000